Diffraction record for Cu11Sb4S13. The powder XRD pattern is computed, not measured: it uses a cell relaxed with PBE and a wavelength of 1.5418 Å.
Intensities are scaled so that the largest is 100.

Atomic structure:
```
data_Cu11Sb4S13
_symmetry_space_group_name_H-M 'P 1'
_symmetry_Int_Tables_number 1
_cell_length_a 8.911
_cell_length_b 8.911
_cell_length_c 9.099
_cell_angle_alpha 110.70
_cell_angle_beta 110.70
_cell_angle_gamma 106.04
loop_
_symmetry_equiv_pos_as_xyz
'x,y,z'
loop_
_atom_site_label
_atom_site_fract_x
_atom_site_fract_y
_atom_site_fract_z
Cu1 0.000 0.000 0.000
Cu2 0.202 0.456 0.632
Cu3 0.455 0.961 0.895
Cu4 0.456 0.202 0.632
Cu5 0.489 0.708 0.157
Cu6 0.505 0.505 0.404
Cu7 0.707 0.932 0.614
Cu8 0.708 0.489 0.157
Cu9 0.932 0.707 0.614
Cu10 0.939 0.939 0.412
Cu11 0.961 0.455 0.895
Sb1 0.179 0.179 0.844
Sb2 0.244 0.707 0.381
Sb3 0.686 0.686 0.920
Sb4 0.707 0.244 0.381
S1 0.187 0.964 0.390
S2 0.197 0.714 0.640
S3 0.229 0.489 0.904
S4 0.253 0.253 0.155
S5 0.448 0.448 0.605
S6 0.459 0.944 0.140
S7 0.489 0.229 0.904
S8 0.703 0.944 0.864
S9 0.713 0.713 0.386
S10 0.714 0.197 0.640
S11 0.944 0.459 0.140
S12 0.944 0.703 0.864
S13 0.964 0.187 0.390
```

The 10 most intense peaks (10 to 80 degrees two-theta), most intense first:
d [Å]	intensity
3.035	100
2.965	89
1.851	69
2.559	29
1.564	22
1.780	18
1.535	17
2.680	17
1.841	16
7.391	13

Diffraction record for Cu3SbS4. The powder XRD pattern is computed, not measured: it uses a cell relaxed with PBE and a wavelength of 1.5418 Å.
Intensities are scaled so that the largest is 100.

Atomic structure:
```
data_Cu3SbS4
_symmetry_space_group_name_H-M 'P 1'
_symmetry_Int_Tables_number 1
_cell_length_a 7.614
_cell_length_b 6.593
_cell_length_c 6.304
_cell_angle_alpha 90.00
_cell_angle_beta 90.00
_cell_angle_gamma 90.00
loop_
_symmetry_equiv_pos_as_xyz
'x,y,z'
loop_
_atom_site_label
_atom_site_fract_x
_atom_site_fract_y
_atom_site_fract_z
Cu1 0.000 0.166 0.000
Cu2 0.249 0.669 0.001
Cu3 0.251 0.331 0.501
Cu4 0.500 0.834 0.500
Cu5 0.749 0.331 0.501
Cu6 0.751 0.669 0.001
Sb1 0.000 0.833 0.499
Sb2 0.500 0.167 0.999
S1 0.000 0.182 0.365
S2 0.000 0.833 0.891
S3 0.237 0.344 0.866
S4 0.263 0.656 0.366
S5 0.500 0.167 0.391
S6 0.500 0.818 0.865
S7 0.737 0.656 0.366
S8 0.763 0.344 0.866
```

The 10 most intense peaks (10 to 80 degrees two-theta), most intense first:
d [Å]	intensity
2.921	100
3.297	76
1.772	62
1.903	58
3.152	51
1.629	40
2.278	30
1.297	20
1.595	16
1.222	13

Diffraction record for Cu3SbS4. The powder XRD pattern is computed, not measured: it uses a cell relaxed with PBE and a wavelength of 1.5418 Å.
Intensities are scaled so that the largest is 100.

Atomic structure:
```
data_Cu3SbS4
_symmetry_space_group_name_H-M 'P 1'
_symmetry_Int_Tables_number 1
_cell_length_a 8.634
_cell_length_b 8.634
_cell_length_c 8.634
_cell_angle_alpha 60.00
_cell_angle_beta 60.00
_cell_angle_gamma 60.00
loop_
_symmetry_equiv_pos_as_xyz
'x,y,z'
loop_
_atom_site_label
_atom_site_fract_x
_atom_site_fract_y
_atom_site_fract_z
Cu1 0.000 0.000 0.500
Cu2 0.000 0.500 0.000
Cu3 0.000 0.500 0.500
Cu4 0.500 0.000 0.000
Cu5 0.500 0.000 0.500
Cu6 0.500 0.500 0.000
Sb1 0.250 0.250 0.250
Sb2 0.750 0.750 0.750
S1 0.138 0.138 0.138
S2 0.138 0.138 0.587
S3 0.138 0.587 0.138
S4 0.413 0.862 0.862
S5 0.587 0.138 0.138
S6 0.862 0.413 0.862
S7 0.862 0.862 0.413
S8 0.862 0.862 0.862
```

The 10 most intense peaks (10 to 80 degrees two-theta), most intense first:
d [Å]	intensity
6.105	100
2.159	60
2.730	35
2.035	24
1.693	17
1.246	17
3.053	16
1.481	11
1.526	9
1.332	7

Diffraction record for Cu3SbS4. The powder XRD pattern is computed, not measured: it uses a cell relaxed with PBE and a wavelength of 1.5418 Å.
Intensities are scaled so that the largest is 100.

Atomic structure:
```
data_Cu3SbS4
_symmetry_space_group_name_H-M 'P 1'
_symmetry_Int_Tables_number 1
_cell_length_a 5.416
_cell_length_b 5.416
_cell_length_c 10.816
_cell_angle_alpha 90.00
_cell_angle_beta 90.00
_cell_angle_gamma 90.00
loop_
_symmetry_equiv_pos_as_xyz
'x,y,z'
loop_
_atom_site_label
_atom_site_fract_x
_atom_site_fract_y
_atom_site_fract_z
Cu1 0.000 0.000 0.000
Cu2 0.000 0.500 0.250
Cu3 0.000 0.500 0.750
Cu4 0.500 0.000 0.250
Cu5 0.500 0.000 0.750
Cu6 0.500 0.500 0.500
Sb1 0.000 0.000 0.500
Sb2 0.500 0.500 0.000
S1 0.237 0.237 0.868
S2 0.237 0.763 0.132
S3 0.263 0.263 0.368
S4 0.263 0.737 0.632
S5 0.737 0.263 0.632
S6 0.737 0.737 0.368
S7 0.763 0.237 0.132
S8 0.763 0.763 0.868
```

The 10 most intense peaks (10 to 80 degrees two-theta), most intense first:
d [Å]	intensity
3.126	100
1.914	58
1.632	41
2.707	16
1.242	15
1.354	6
4.843	4
1.563	4
1.211	3
1.352	3

Diffraction record for ScCu3S3. The powder XRD pattern is computed, not measured: it uses a cell relaxed with PBE and a wavelength of 1.5418 Å.
Intensities are scaled so that the largest is 100.

Atomic structure:
```
data_ScCu3S3
_symmetry_space_group_name_H-M 'P 1'
_symmetry_Int_Tables_number 1
_cell_length_a 7.223
_cell_length_b 7.223
_cell_length_c 7.223
_cell_angle_alpha 54.09
_cell_angle_beta 54.09
_cell_angle_gamma 54.09
loop_
_symmetry_equiv_pos_as_xyz
'x,y,z'
loop_
_atom_site_label
_atom_site_fract_x
_atom_site_fract_y
_atom_site_fract_z
Sc1 0.167 0.167 0.167
Sc2 0.833 0.833 0.833
Cu1 0.042 0.377 0.712
Cu2 0.288 0.958 0.623
Cu3 0.377 0.712 0.042
Cu4 0.623 0.288 0.958
Cu5 0.712 0.042 0.377
Cu6 0.958 0.623 0.288
S1 0.083 0.757 0.422
S2 0.243 0.578 0.917
S3 0.422 0.083 0.757
S4 0.578 0.917 0.243
S5 0.757 0.422 0.083
S6 0.917 0.243 0.578
```

The 10 most intense peaks (10 to 80 degrees two-theta), most intense first:
d [Å]	intensity
2.244	100
1.896	74
2.897	64
3.284	37
1.739	34
6.148	33
1.448	22
1.392	19
1.281	12
1.587	10

Diffraction record for Sc2TlCu3S5. The powder XRD pattern is computed, not measured: it uses a cell relaxed with PBE and a wavelength of 1.5418 Å.
Intensities are scaled so that the largest is 100.

Atomic structure:
```
data_Sc2TlCu3S5
_symmetry_space_group_name_H-M 'P 1'
_symmetry_Int_Tables_number 1
_cell_length_a 7.124
_cell_length_b 7.124
_cell_length_c 15.755
_cell_angle_alpha 90.00
_cell_angle_beta 90.00
_cell_angle_gamma 149.07
loop_
_symmetry_equiv_pos_as_xyz
'x,y,z'
loop_
_atom_site_label
_atom_site_fract_x
_atom_site_fract_y
_atom_site_fract_z
Sc1 0.193 0.807 0.594
Sc2 0.193 0.807 0.906
Sc3 0.807 0.193 0.094
Sc4 0.807 0.193 0.406
Tl1 0.069 0.931 0.250
Tl2 0.931 0.069 0.750
Cu1 0.355 0.645 0.250
Cu2 0.417 0.583 0.544
Cu3 0.417 0.583 0.956
Cu4 0.583 0.417 0.044
Cu5 0.583 0.417 0.456
Cu6 0.645 0.355 0.750
S1 0.173 0.827 0.069
S2 0.173 0.827 0.431
S3 0.242 0.758 0.750
S4 0.434 0.566 0.113
S5 0.434 0.566 0.387
S6 0.566 0.434 0.613
S7 0.566 0.434 0.887
S8 0.758 0.242 0.250
S9 0.827 0.173 0.569
S10 0.827 0.173 0.931
```

The 10 most intense peaks (10 to 80 degrees two-theta), most intense first:
d [Å]	intensity
2.874	100
3.321	76
1.783	60
2.555	56
3.354	50
2.626	49
2.142	40
2.321	36
2.864	35
2.741	34

Diffraction record for CuSeS. The powder XRD pattern is computed, not measured: it uses a cell relaxed with PBE and a wavelength of 1.5418 Å.
Intensities are scaled so that the largest is 100.

Atomic structure:
```
data_CuSeS
_symmetry_space_group_name_H-M 'P 1'
_symmetry_Int_Tables_number 1
_cell_length_a 5.985
_cell_length_b 5.985
_cell_length_c 5.985
_cell_angle_alpha 90.00
_cell_angle_beta 90.00
_cell_angle_gamma 90.00
loop_
_symmetry_equiv_pos_as_xyz
'x,y,z'
loop_
_atom_site_label
_atom_site_fract_x
_atom_site_fract_y
_atom_site_fract_z
Cu1 0.006 0.006 0.006
Cu2 0.494 0.994 0.506
Cu3 0.506 0.494 0.994
Cu4 0.994 0.506 0.494
Se1 0.107 0.607 0.893
Se2 0.393 0.393 0.393
Se3 0.607 0.893 0.107
Se4 0.893 0.107 0.607
S1 0.107 0.893 0.393
S2 0.393 0.107 0.893
S3 0.607 0.607 0.607
S4 0.893 0.393 0.107
```

The 10 most intense peaks (10 to 80 degrees two-theta), most intense first:
d [Å]	intensity
2.677	100
2.993	96
1.805	93
2.444	70
2.116	44
1.600	43
1.660	35
1.728	19
4.232	19
1.306	15

Question: What is the formula in the seventh record?
Answer: CuSeS